# 1
# NaFeO2
Calculated powder X-ray diffraction pattern, Cu Ka. Input: a cell relaxed with GGA+U.
Intensities are scaled so that the largest is 100.

Largest 6 diffraction maxima, low angle first, 10° ≤ 2θ ≤ 90°:
2θ = 19.88°, intensity 100; 2θ = 29.18°, intensity 80; 2θ = 31.54°, intensity 58; 2θ = 31.74°, intensity 56; 2θ = 33.29°, intensity 71; 2θ = 54.70°, intensity 29

Structural model:
```
data_NaFeO2
_cell_length_a 5.638
_cell_length_b 5.672
_cell_length_c 7.279
_cell_angle_alpha 90.00
_cell_angle_beta 90.00
_cell_angle_gamma 90.00
_space_group_name_H-M_alt 'P 1'
_space_group_IT_number 1
loop_
_space_group_symop_operation_xyz
'x,y,z'
loop_
_atom_site_label
_atom_site_type_symbol
_atom_site_fract_x
_atom_site_fract_y
_atom_site_fract_z
Na1 Na 0.052 0.197 0.375
Na2 Na 0.448 0.803 0.875
Na3 Na 0.552 0.303 0.625
Na4 Na 0.948 0.697 0.125
Fe1 Fe 0.064 0.188 0.875
Fe2 Fe 0.436 0.812 0.375
Fe3 Fe 0.564 0.312 0.125
Fe4 Fe 0.936 0.688 0.625
O1 O 0.029 0.853 0.840
O2 O 0.104 0.778 0.412
O3 O 0.396 0.222 0.912
O4 O 0.471 0.147 0.340
O5 O 0.529 0.647 0.160
O6 O 0.604 0.722 0.588
O7 O 0.896 0.278 0.088
O8 O 0.971 0.353 0.660
```

***

# 2
# SrLaCo2O6
Calculated powder X-ray diffraction pattern, Cu Ka. Input: a cell relaxed with GGA+U.
Intensities are scaled so that the largest is 100.

Largest 6 diffraction maxima, low angle first, 10° ≤ 2θ ≤ 90°:
2θ = 33.21°, intensity 100; 2θ = 40.97°, intensity 14; 2θ = 47.67°, intensity 34; 2θ = 59.33°, intensity 37; 2θ = 69.71°, intensity 20; 2θ = 79.43°, intensity 16

Structural model:
```
data_SrLaCo2O6
_cell_length_a 5.396
_cell_length_b 5.396
_cell_length_c 5.396
_cell_angle_alpha 60.00
_cell_angle_beta 60.00
_cell_angle_gamma 60.00
_space_group_name_H-M_alt 'P 1'
_space_group_IT_number 1
loop_
_space_group_symop_operation_xyz
'x,y,z'
loop_
_atom_site_label
_atom_site_type_symbol
_atom_site_fract_x
_atom_site_fract_y
_atom_site_fract_z
Sr1 Sr 0.000 0.000 0.000
La1 La 0.500 0.500 0.500
Co1 Co 0.250 0.250 0.250
Co2 Co 0.750 0.750 0.750
O1 O 0.000 0.000 0.500
O2 O 0.000 0.500 0.000
O3 O 0.000 0.500 0.500
O4 O 0.500 0.000 0.000
O5 O 0.500 0.000 0.500
O6 O 0.500 0.500 0.000
```

***

# 3
# La2NiO3F2
Calculated powder X-ray diffraction pattern, Cu Ka. Input: a cell relaxed with GGA+U.
Intensities are scaled so that the largest is 100.

Largest 6 diffraction maxima, low angle first, 10° ≤ 2θ ≤ 90°:
2θ = 29.82°, intensity 100; 2θ = 30.70°, intensity 21; 2θ = 31.37°, intensity 31; 2θ = 37.23°, intensity 19; 2θ = 44.47°, intensity 28; 2θ = 54.89°, intensity 18

Structural model:
```
data_La2NiO3F2
_cell_length_a 7.241
_cell_length_b 7.241
_cell_length_c 5.703
_cell_angle_alpha 90.00
_cell_angle_beta 90.00
_cell_angle_gamma 132.57
_space_group_name_H-M_alt 'P 1'
_space_group_IT_number 1
loop_
_space_group_symop_operation_xyz
'x,y,z'
loop_
_atom_site_label
_atom_site_type_symbol
_atom_site_fract_x
_atom_site_fract_y
_atom_site_fract_z
La1 La 0.103 0.319 0.000
La2 La 0.319 0.103 0.500
La3 La 0.681 0.897 0.500
La4 La 0.897 0.681 0.000
Ni1 Ni 0.000 0.500 0.500
Ni2 Ni 0.500 0.000 0.000
O1 O 0.000 0.000 0.250
O2 O 0.000 0.000 0.750
O3 O 0.221 0.779 0.250
O4 O 0.221 0.779 0.750
O5 O 0.779 0.221 0.250
O6 O 0.779 0.221 0.750
F1 F 0.275 0.460 0.500
F2 F 0.460 0.275 0.000
F3 F 0.540 0.725 0.000
F4 F 0.725 0.540 0.500
```

***

# 4
# HfMg6MnO8
Calculated powder X-ray diffraction pattern, Cu Ka. Input: a cell relaxed with GGA+U.
Intensities are scaled so that the largest is 100.

Largest 6 diffraction maxima, low angle first, 10° ≤ 2θ ≤ 90°:
2θ = 22.81°, intensity 52; 2θ = 30.83°, intensity 58; 2θ = 35.56°, intensity 76; 2θ = 40.65°, intensity 52; 2θ = 41.62°, intensity 100; 2θ = 59.58°, intensity 61

Structural model:
```
data_HfMg6MnO8
_cell_length_a 4.340
_cell_length_b 4.340
_cell_length_c 8.879
_cell_angle_alpha 90.00
_cell_angle_beta 90.00
_cell_angle_gamma 90.00
_space_group_name_H-M_alt 'P 1'
_space_group_IT_number 1
loop_
_space_group_symop_operation_xyz
'x,y,z'
loop_
_atom_site_label
_atom_site_type_symbol
_atom_site_fract_x
_atom_site_fract_y
_atom_site_fract_z
Hf1 Hf 0.000 0.000 0.000
Mg1 Mg 0.000 0.000 0.500
Mg2 Mg 0.000 0.500 0.261
Mg3 Mg 0.000 0.500 0.739
Mg4 Mg 0.500 0.000 0.261
Mg5 Mg 0.500 0.000 0.739
Mg6 Mg 0.500 0.500 0.500
Mn1 Mn 0.500 0.500 0.000
O1 O 0.000 0.000 0.257
O2 O 0.000 0.000 0.743
O3 O 0.000 0.500 0.000
O4 O 0.000 0.500 0.500
O5 O 0.500 0.000 0.000
O6 O 0.500 0.000 0.500
O7 O 0.500 0.500 0.264
O8 O 0.500 0.500 0.736
```